# 1
For LaSm3Cr4O12, DFT lattice parameters and positions (GGA+U) gives the computed X-ray powder pattern in this record (λ = 1.5418 Å (Cu Kα)).
Peak positions follow from Bragg's law for the DFT cell and can differ from measured ones.

Principal peaks in the range 2θ = 15–90°, by angle:
- 2θ = 22.73°, intensity 197, (1 0 1)
- 2θ = 31.90°, intensity 208, (0 0 2)
- 2θ = 32.43°, intensity 1000, (1 2 1)
- 2θ = 32.81°, intensity 244, (2 0 0)
- 2θ = 46.41°, intensity 221, (2 0 2)
- 2θ = 46.63°, intensity 145, (0 4 0)
- 2θ = 58.33°, intensity 220, (3 2 1)
- 2θ = 67.90°, intensity 150, (2 4 2)

Cell and atoms:
a b c (Å): 5.460 7.792 5.611
angles (deg): 90.00 90.06 90.00
Space group Pm (No. 6)
Asymmetric unit:
1 La 0.000 0.000 0.000 x1
2 Sm 0.025 0.500 0.101 x1
3 Sm 0.497 0.500 0.598 x1
4 Sm 0.525 0.000 0.490 x1
5 Cr 0.009 0.252 0.546 x2
6 Cr 0.511 0.253 0.044 x2
7 O 0.107 0.000 0.564 x1
8 O 0.214 0.304 0.839 x2
9 O 0.304 0.303 0.337 x2
10 O 0.428 0.000 0.074 x1
11 O 0.609 0.500 0.013 x1
12 O 0.709 0.203 0.745 x2
13 O 0.802 0.205 0.254 x2
14 O 0.913 0.500 0.516 x1

=====

# 2
For La5Sm3Cr8O24, DFT lattice parameters and positions (GGA+U) gives the computed X-ray powder pattern in this record (λ = 1.5418 Å (Cu Kα)).
Peak positions follow from Bragg's law for the DFT cell and can differ from measured ones.

Principal peaks in the range 2θ = 15–90°, by angle:
- 2θ = 22.68°, intensity 176, (2 0 0)
- 2θ = 32.29°, intensity 1000, (2 2 0)
- 2θ = 39.82°, intensity 219, (2 2 2)
- 2θ = 46.31°, intensity 327, (4 0 0)
- 2θ = 52.17°, intensity 94, (4 2 0)
- 2θ = 57.58°, intensity 380, (4 2 2)
- 2θ = 67.58°, intensity 191, (4 4 0)
- 2θ = 76.89°, intensity 161, (6 2 0)

Cell and atoms:
a b c (Å): 7.841 7.841 7.841
angles (deg): 90.00 90.00 90.00
Space group P4/mmm (No. 123)
Asymmetric unit:
1 La 0.000 0.000 0.000 x1
2 La 0.000 0.000 0.500 x1
3 La 0.000 0.500 0.000 x2
4 La 0.500 0.500 0.000 x1
5 Sm 0.000 0.500 0.500 x2
6 Sm 0.500 0.500 0.500 x1
7 Cr 0.250 0.250 0.251 x8
8 O 0.000 0.251 0.251 x8
9 O 0.250 0.250 0.000 x4
10 O 0.250 0.500 0.252 x8
11 O 0.251 0.251 0.500 x4

=====

# 3
For La7SmV7CrO24, DFT lattice parameters and positions (GGA+U) gives the computed X-ray powder pattern in this record (λ = 1.5418 Å (Cu Kα)).
Peak positions follow from Bragg's law for the DFT cell and can differ from measured ones.

Principal peaks in the range 2θ = 15–90°, by angle:
- 2θ = 22.46°, intensity 376, (2 0 2)
- 2θ = 31.92°, intensity 1000, (2 2 0)
- 2θ = 32.03°, intensity 992, (0 2 4)
- 2θ = 39.38°, intensity 352, (0 4 2)
- 2θ = 45.85°, intensity 666, (4 0 4)
- 2θ = 56.93°, intensity 571, (6 0 0)
- 2θ = 66.73°, intensity 195, (4 4 0)
- 2θ = 66.97°, intensity 193, (0 4 8)

Cell and atoms:
a b c (Å): 11.2143 11.2143 13.6698
angles (deg): 90.00 90.00 120.00
Space group R3m (No. 160, hexagonal axes)
Asymmetric unit:
1 La 0.0000 0.0000 0.0000 x3
2 La 0.0046 0.5023 0.5021 x9
3 La 0.1690 0.3380 0.3373 x9
4 Sm 0.0000 0.0000 0.5064 x3
5 V 0.0000 0.0000 0.2535 x3
6 V 0.0003 0.5002 0.2530 x9
7 V 0.9999 0.4999 0.7531 x9
8 Cr 0.0000 0.0000 0.7529 x3
9 O 0.0012 0.2494 0.5034 x18
10 O 0.0815 0.1630 0.6696 x9
11 O 0.0835 0.1670 0.1688 x9
12 O 0.0836 0.4156 0.6693 x18
13 O 0.1641 0.0821 0.8354 x9
14 O 0.1662 0.0831 0.3385 x9

=====

# 4
For La5Sm3VCr7O24, DFT lattice parameters and positions (GGA+U) gives the computed X-ray powder pattern in this record (λ = 1.5418 Å (Cu Kα)).
Peak positions follow from Bragg's law for the DFT cell and can differ from measured ones.

Principal peaks in the range 2θ = 15–90°, by angle:
- 2θ = 22.72°, intensity 179, (2 2 0)
- 2θ = 32.35°, intensity 1000, (4 0 0)
- 2θ = 39.92°, intensity 165, (4 0 2)
- 2θ = 46.40°, intensity 327, (4 4 0)
- 2θ = 57.60°, intensity 95, (6 2 -2)
- 2θ = 57.73°, intensity 284, (6 2 2)
- 2θ = 67.64°, intensity 96, (8 0 0)
- 2θ = 67.79°, intensity 95, (4 4 4)

Cell and atoms:
a b c (Å): 11.077 11.060 7.830
angles (deg): 90.00 90.17 90.00
Space group Cm (No. 8)
Asymmetric unit:
1 La 0.000 0.000 0.000 x2
2 La 0.000 0.500 0.500 x2
3 La 0.250 0.250 0.000 x4
4 La 0.499 0.000 0.001 x2
5 Sm 0.001 0.000 0.499 x2
6 Sm 0.250 0.250 0.499 x4
7 V 0.250 0.500 0.749 x2
8 Cr 0.000 0.250 0.251 x4
9 Cr 0.000 0.250 0.749 x4
10 Cr 0.249 0.000 0.251 x2
11 Cr 0.249 0.000 0.749 x2
12 Cr 0.250 0.500 0.251 x2
13 O 0.000 0.248 0.500 x4
14 O 0.000 0.250 0.000 x4
15 O 0.124 0.374 0.749 x4
16 O 0.125 0.125 0.254 x4
17 O 0.125 0.125 0.746 x4
18 O 0.126 0.374 0.252 x4
19 O 0.248 0.000 0.500 x2
20 O 0.249 0.500 0.002 x2
21 O 0.250 0.000 0.000 x2
22 O 0.253 0.500 0.498 x2
23 O 0.374 0.126 0.252 x4
24 O 0.374 0.126 0.748 x4
25 O 0.375 0.375 0.254 x4
26 O 0.376 0.374 0.745 x4

=====

# 5
For La6Sm2V3Cr5O24, DFT lattice parameters and positions (GGA+U) gives the computed X-ray powder pattern in this record (λ = 1.5418 Å (Cu Kα)).
Peak positions follow from Bragg's law for the DFT cell and can differ from measured ones.

Principal peaks in the range 2θ = 15–90°, by angle:
- 2θ = 32.06°, intensity 507, (2 0 2)
- 2θ = 32.23°, intensity 1000, (2 2 0)
- 2θ = 39.68°, intensity 339, (2 2 2)
- 2θ = 45.84°, intensity 169, (0 0 4)
- 2θ = 46.11°, intensity 166, (4 0 0)
- 2θ = 57.17°, intensity 193, (2 2 4)
- 2θ = 57.34°, intensity 191, (4 2 2)
- 2θ = 57.58°, intensity 189, (2 4 2)

Cell and atoms:
a b c (Å): 7.874 7.816 7.918
angles (deg): 90.00 90.04 90.00
Space group Pm (No. 6)
Asymmetric unit:
1 La 0.000 0.250 0.000 x2
2 La 0.000 0.250 0.495 x2
3 La 0.503 0.250 0.495 x2
4 Sm 0.503 0.250 0.001 x2
5 V 0.252 0.000 0.748 x1
6 V 0.252 0.500 0.749 x1
7 V 0.751 0.500 0.748 x1
8 Cr 0.252 0.000 0.247 x1
9 Cr 0.252 0.500 0.247 x1
10 Cr 0.751 0.000 0.247 x1
11 Cr 0.751 0.000 0.748 x1
12 Cr 0.751 0.500 0.247 x1
13 O 0.001 0.000 0.248 x1
14 O 0.002 0.500 0.247 x1
15 O 0.250 0.500 0.496 x1
16 O 0.253 0.000 0.495 x1
17 O 0.253 0.250 0.749 x2
18 O 0.254 0.000 0.001 x1
19 O 0.254 0.250 0.246 x2
20 O 0.257 0.500 0.000 x1
21 O 0.501 0.500 0.244 x1
22 O 0.502 0.000 0.244 x1
23 O 0.504 0.000 0.750 x1
24 O 0.504 0.500 0.752 x1
25 O 0.748 0.000 0.998 x1
26 O 0.748 0.500 0.002 x1
27 O 0.749 0.250 0.246 x2
28 O 0.750 0.249 0.750 x2
29 O 0.751 0.000 0.497 x1
30 O 0.751 0.500 0.493 x1
31 O 0.999 0.000 0.749 x1
32 O 0.999 0.500 0.747 x1

=====

# 6
For La5Sm3V2Cr6O24, DFT lattice parameters and positions (GGA+U) gives the computed X-ray powder pattern in this record (λ = 1.5418 Å (Cu Kα)).
Peak positions follow from Bragg's law for the DFT cell and can differ from measured ones.

Principal peaks in the range 2θ = 15–90°, by angle:
- 2θ = 22.69°, intensity 219, (2 0 0)
- 2θ = 32.30°, intensity 1000, (2 2 2)
- 2θ = 32.38°, intensity 199, (0 4 0)
- 2θ = 39.85°, intensity 268, (2 4 0)
- 2θ = 46.34°, intensity 392, (4 0 0)
- 2θ = 57.58°, intensity 304, (4 4 0)
- 2θ = 67.59°, intensity 191, (4 4 4)
- 2θ = 76.92°, intensity 161, (6 2 2)

Cell and atoms:
a b c (Å): 7.844 11.060 11.096
angles (deg): 90.00 90.00 90.00
Space group Amm2 (No. 38)
Asymmetric unit:
1 La 0.000 0.000 0.000 x2
2 La 0.000 0.000 0.498 x2
3 La 0.000 0.250 0.249 x4
4 La 0.500 0.000 0.998 x2
5 Sm 0.500 0.000 0.496 x2
6 Sm 0.500 0.249 0.248 x4
7 V 0.251 0.000 0.748 x4
8 Cr 0.251 0.000 0.249 x4
9 Cr 0.251 0.250 0.498 x8
10 O 0.000 0.000 0.248 x2
11 O 0.000 0.000 0.750 x2
12 O 0.000 0.250 0.498 x4
13 O 0.251 0.126 0.874 x8
14 O 0.252 0.126 0.124 x8
15 O 0.254 0.125 0.373 x8
16 O 0.255 0.126 0.622 x8
17 O 0.500 0.000 0.250 x2
18 O 0.500 0.000 0.745 x2
19 O 0.500 0.248 0.498 x4

=====

# 7
For La6Sm2V5Cr3O24, DFT lattice parameters and positions (GGA+U) gives the computed X-ray powder pattern in this record (λ = 1.5418 Å (Cu Kα)).
Peak positions follow from Bragg's law for the DFT cell and can differ from measured ones.

Principal peaks in the range 2θ = 15–90°, by angle:
- 2θ = 22.47°, intensity 250, (0 2 0)
- 2θ = 32.02°, intensity 1000, (0 2 2)
- 2θ = 32.10°, intensity 993, (2 2 0)
- 2θ = 39.53°, intensity 460, (2 2 2)
- 2θ = 45.86°, intensity 444, (0 4 0)
- 2θ = 57.08°, intensity 508, (2 4 2)
- 2θ = 57.29°, intensity 252, (4 2 2)
- 2θ = 67.13°, intensity 257, (4 4 0)

Cell and atoms:
a b c (Å): 7.861 7.913 7.915
angles (deg): 90.00 90.05 90.00
Space group Pm (No. 6)
Asymmetric unit:
1 La 0.000 0.247 0.000 x2
2 La 0.000 0.247 0.495 x2
3 La 0.501 0.248 0.495 x2
4 Sm 0.502 0.247 0.001 x2
5 V 0.251 0.000 0.247 x1
6 V 0.251 0.000 0.748 x1
7 V 0.251 0.500 0.247 x1
8 V 0.251 0.500 0.748 x1
9 V 0.750 0.500 0.748 x1
10 Cr 0.750 0.000 0.247 x1
11 Cr 0.750 0.000 0.748 x1
12 Cr 0.750 0.500 0.247 x1
13 O 0.001 0.500 0.247 x1
14 O 0.001 0.500 0.748 x1
15 O 0.250 0.000 0.495 x1
16 O 0.251 0.500 0.498 x1
17 O 0.252 0.247 0.246 x2
18 O 0.252 0.247 0.749 x2
19 O 0.253 0.500 0.998 x1
20 O 0.254 0.000 0.001 x1
21 O 0.500 0.500 0.751 x1
22 O 0.501 0.500 0.245 x1
23 O 0.502 0.000 0.751 x1
24 O 0.505 0.000 0.244 x1
25 O 0.747 0.500 0.002 x1
26 O 0.748 0.000 0.997 x1
27 O 0.749 0.249 0.749 x2
28 O 0.749 0.250 0.246 x2
29 O 0.750 0.000 0.498 x1
30 O 0.751 0.500 0.494 x1
31 O 0.996 0.000 0.248 x1
32 O 0.999 0.000 0.748 x1